This entry pairs a crystal structure of K6Ta11O30 with its simulated X-ray powder pattern. Radiation: copper Kα. Structure: a cell relaxed with PBE.
Intensities are scaled so that the largest is 100.

The 10 most intense peaks (10 to 80 degrees two-theta), low angle first:
15.31 deg, rel. 42
15.45 deg, rel. 49
21.90 deg, rel. 54
22.44 deg, rel. 100
27.32 deg, rel. 39
28.50 deg, rel. 76
31.45 deg, rel. 76
31.55 deg, rel. 59
33.69 deg, rel. 47
45.80 deg, rel. 48

Structural model:
```
K6Ta11O30
1.0
3.9624 0.0000 0.0000
0.0000 9.0567 9.1582
0.0000 -9.0567 9.1582
K Ta O
6 11 30
direct
0.0000 0.0000 0.0000
0.0000 0.1693 0.6590
0.0000 0.3287 0.3287
0.0000 0.4611 0.8224
0.0000 0.6590 0.1693
0.0000 0.8224 0.4611
0.0000 0.7755 0.7755
0.5000 0.0885 0.4432
0.5000 0.1570 0.1570
0.5000 0.2434 0.8746
0.5000 0.3649 0.5809
0.5000 0.4432 0.0885
0.5000 0.5809 0.3649
0.5000 0.6464 0.6464
0.5000 0.7343 0.9654
0.5000 0.8746 0.2434
0.5000 0.9654 0.7343
0.0000 0.0813 0.4600
0.0000 0.1617 0.1617
0.0000 0.2359 0.8657
0.0000 0.3693 0.5866
0.0000 0.4600 0.0813
0.0000 0.5866 0.3693
0.0000 0.6650 0.6650
0.0000 0.7406 0.9289
0.0000 0.8657 0.2359
0.0000 0.9289 0.7406
0.5000 0.0051 0.1610
0.5000 0.0182 0.5989
0.5000 0.0908 0.8038
0.5000 0.1610 0.0051
0.5000 0.1613 0.3163
0.5000 0.2293 0.5183
0.5000 0.3039 0.7301
0.5000 0.3163 0.1613
0.5000 0.3750 0.9481
0.5000 0.4507 0.4507
0.5000 0.5047 0.6659
0.5000 0.5183 0.2293
0.5000 0.5989 0.0182
0.5000 0.6659 0.5047
0.5000 0.6768 0.8115
0.5000 0.7301 0.3039
0.5000 0.8038 0.0908
0.5000 0.8115 0.6768
0.5000 0.8718 0.8718
0.5000 0.9481 0.3750
```

=====

This entry pairs a crystal structure of K4Ta3O10 with its simulated X-ray powder pattern. Radiation: copper Kα. Structure: a cell relaxed with PBE.
Intensities are scaled so that the largest is 100.

The 10 most intense peaks (10 to 80 degrees two-theta), low angle first:
17.63 deg, rel. 24
22.25 deg, rel. 68
23.57 deg, rel. 16
30.35 deg, rel. 100
31.38 deg, rel. 52
44.98 deg, rel. 36
50.71 deg, rel. 27
53.26 deg, rel. 20
55.22 deg, rel. 37
63.14 deg, rel. 17

Structural model:
```
K4Ta3O10
1.0
-2.0157 2.0157 15.0952
2.0157 -2.0157 15.0952
2.0157 2.0157 -15.0952
K Ta O
4 3 10
direct
0.0684 0.0684 0.0000
0.2078 0.2078 0.0000
0.7922 0.7922 0.0000
0.9316 0.9316 0.0000
0.3617 0.3617 0.0000
0.5000 0.5000 0.0000
0.6383 0.6383 0.0000
0.0000 0.5000 0.5000
0.1338 0.6338 0.5000
0.2998 0.2998 0.0000
0.3662 0.8662 0.5000
0.4342 0.4342 0.0000
0.5000 0.0000 0.5000
0.5658 0.5658 0.0000
0.6338 0.1338 0.5000
0.7002 0.7002 0.0000
0.8662 0.3662 0.5000
```

=====

This entry pairs a crystal structure of K9Ta10O30 with its simulated X-ray powder pattern. Radiation: copper Kα. Structure: a cell relaxed with PBE.
Intensities are scaled so that the largest is 100.

The 10 most intense peaks (10 to 80 degrees two-theta), low angle first:
22.09 deg, rel. 77
31.44 deg, rel. 100
38.76 deg, rel. 9
45.06 deg, rel. 32
50.74 deg, rel. 34
55.98 deg, rel. 40
65.63 deg, rel. 19
70.17 deg, rel. 16
74.59 deg, rel. 17
78.91 deg, rel. 5

Structural model:
```
K9Ta10O30
1.0
8.9968 0.0000 0.0000
-0.0001 8.9970 0.0000
-1.8005 -3.5990 8.0472
K Ta O
9 10 30
direct
0.0000 0.0000 0.0000
0.1011 0.2002 0.5001
0.1993 0.3994 0.0001
0.2999 0.6011 0.5002
0.4001 0.7996 0.0007
0.5999 0.2004 0.9993
0.7001 0.3989 0.4998
0.8007 0.6006 0.9999
0.8989 0.7998 0.4999
0.0501 0.6004 0.7511
0.1532 0.8031 0.2538
0.2520 0.0013 0.7495
0.3522 0.1987 0.2525
0.4512 0.3971 0.7484
0.5488 0.6029 0.2516
0.6478 0.8013 0.7475
0.7480 0.9987 0.2505
0.8468 0.1969 0.7462
0.9499 0.3996 0.2489
0.0000 0.5000 0.5000
0.0499 0.0999 0.7498
0.0500 0.6003 0.2501
0.1001 0.7001 0.0002
0.1502 0.3000 0.2501
0.1501 0.8002 0.7500
0.1974 0.8992 0.5002
0.2479 0.0001 0.2479
0.2502 0.5000 0.7500
0.3000 0.1000 0.9999
0.3488 0.2018 0.7522
0.3486 0.6974 0.2479
0.3993 0.3027 0.5000
0.4495 0.8992 0.7523
0.4500 0.4000 0.2500
0.5000 0.5000 0.0000
0.5500 0.6000 0.7500
0.5505 0.1008 0.2477
0.6007 0.6973 0.5000
0.6514 0.3026 0.7521
0.6512 0.7982 0.2478
0.7000 0.9000 0.0001
0.7498 0.5000 0.2500
0.7521 0.9999 0.7521
0.8026 0.1008 0.4998
0.8499 0.1998 0.2500
0.8498 0.7000 0.7499
0.8999 0.2999 0.9998
0.9500 0.3997 0.7499
0.9501 0.9001 0.2502
```

=====

This entry pairs a crystal structure of K3TaO6 with its simulated X-ray powder pattern. Radiation: copper Kα. Structure: a cell relaxed with PBE.
Intensities are scaled so that the largest is 100.

The 10 most intense peaks (10 to 80 degrees two-theta), low angle first:
15.71 deg, rel. 27
17.76 deg, rel. 100
22.85 deg, rel. 30
27.38 deg, rel. 59
29.53 deg, rel. 56
40.71 deg, rel. 35
43.66 deg, rel. 19
48.41 deg, rel. 14
49.76 deg, rel. 31
53.63 deg, rel. 13

Structural model:
```
K3TaO6
1.0
6.5141 0.0000 0.0000
-3.2570 5.6414 0.0000
0.0000 0.0000 10.7514
K Ta O
6 2 12
direct
0.0000 0.0000 0.0000
0.0000 0.0000 0.5000
0.3333 0.6667 0.0809
0.3333 0.6667 0.4191
0.6667 0.3333 0.5809
0.6667 0.3333 0.9191
0.3333 0.6667 0.7500
0.6667 0.3333 0.2500
0.1332 0.3940 0.6404
0.1332 0.7392 0.8596
0.2608 0.3940 0.8596
0.2608 0.8668 0.6404
0.3940 0.1332 0.3596
0.3940 0.2608 0.1404
0.6060 0.7392 0.6404
0.6060 0.8668 0.8596
0.7392 0.1332 0.1404
0.7392 0.6060 0.3596
0.8668 0.2608 0.3596
0.8668 0.6060 0.1404
```

=====

This entry pairs a crystal structure of K2TaTcO6 with its simulated X-ray powder pattern. Radiation: copper Kα. Structure: a cell relaxed with PBE.
Intensities are scaled so that the largest is 100.

The 10 most intense peaks (10 to 80 degrees two-theta), low angle first:
15.71 deg, rel. 9
22.31 deg, rel. 61
31.76 deg, rel. 100
45.48 deg, rel. 23
45.63 deg, rel. 11
51.23 deg, rel. 18
51.35 deg, rel. 9
56.58 deg, rel. 38
66.40 deg, rel. 14
75.37 deg, rel. 11

Structural model:
```
K2TaTcO6
1.0
5.6404 0.0000 0.0000
0.0000 5.6404 0.0000
0.0000 0.0000 3.9762
K Ta Tc O
2 1 1 6
direct
0.0000 0.5000 0.0000
0.5000 0.0000 0.0000
0.0000 0.0000 0.5000
0.5000 0.5000 0.5000
0.0000 0.0000 0.0000
0.2519 0.2519 0.5000
0.2519 0.7481 0.5000
0.5000 0.5000 0.0000
0.7481 0.2519 0.5000
0.7481 0.7481 0.5000
```

=====

This entry pairs a crystal structure of K2TaTc3O12 with its simulated X-ray powder pattern. Radiation: copper Kα. Structure: a cell relaxed with PBE.
Intensities are scaled so that the largest is 100.

The 10 most intense peaks (10 to 80 degrees two-theta), low angle first:
14.89 deg, rel. 100
28.41 deg, rel. 28
28.66 deg, rel. 67
29.57 deg, rel. 23
30.05 deg, rel. 51
34.70 deg, rel. 12
45.76 deg, rel. 21
49.57 deg, rel. 21
50.19 deg, rel. 22
59.34 deg, rel. 17

Structural model:
```
K2TaTc3O12
1.0
3.6354 2.0989 6.0415
-3.6354 2.0989 6.0415
0.0000 -4.1978 6.0415
K Ta Tc O
2 1 3 12
direct
0.1355 0.1355 0.1355
0.8645 0.8645 0.8645
0.5000 0.5000 0.5000
0.0000 0.5000 0.5000
0.5000 0.0000 0.5000
0.5000 0.5000 0.0000
0.1773 0.5677 0.5677
0.1923 0.1923 0.5660
0.1923 0.5660 0.1923
0.4323 0.4323 0.8227
0.4323 0.8227 0.4323
0.4340 0.8077 0.8077
0.5660 0.1923 0.1923
0.5677 0.1773 0.5677
0.5677 0.5677 0.1773
0.8077 0.4340 0.8077
0.8077 0.8077 0.4340
0.8227 0.4323 0.4323
```

=====

This entry pairs a crystal structure of K2TaTlO4 with its simulated X-ray powder pattern. Radiation: copper Kα. Structure: a cell relaxed with PBE.
Intensities are scaled so that the largest is 100.

The 10 most intense peaks (10 to 80 degrees two-theta), low angle first:
16.22 deg, rel. 75
21.37 deg, rel. 37
22.15 deg, rel. 34
26.95 deg, rel. 100
27.58 deg, rel. 97
30.97 deg, rel. 55
35.16 deg, rel. 38
45.72 deg, rel. 53
52.31 deg, rel. 30
53.41 deg, rel. 28

Structural model:
```
K2TaTlO4
1.0
0.0000 4.1577 5.4647
4.0124 0.0000 5.4647
4.0124 4.1577 0.0000
K Ta Tl O
2 1 1 4
direct
0.0000 0.0000 0.5000
0.5000 0.5000 0.0000
0.2521 0.2521 0.7479
0.7437 0.7437 0.2563
0.1607 0.5431 0.8393
0.3365 0.9689 0.0311
0.5431 0.1607 0.4569
0.9689 0.3365 0.6635
```

=====

This entry pairs a crystal structure of K3TmTa2O8 with its simulated X-ray powder pattern. Radiation: copper Kα. Structure: a cell relaxed with PBE.
Intensities are scaled so that the largest is 100.

The 10 most intense peaks (10 to 80 degrees two-theta), low angle first:
20.26 deg, rel. 100
28.56 deg, rel. 71
29.06 deg, rel. 93
38.86 deg, rel. 20
41.20 deg, rel. 35
46.66 deg, rel. 23
51.20 deg, rel. 28
51.51 deg, rel. 18
56.27 deg, rel. 22
60.23 deg, rel. 16

Structural model:
```
K3TmTa2O8
1.0
6.1459 0.0000 0.0000
-3.0729 5.3225 0.0000
0.0000 0.0000 7.7234
K Tm Ta O
3 1 2 8
direct
0.0000 0.0000 0.0000
0.3333 0.6667 0.6769
0.6667 0.3333 0.3231
0.0000 0.0000 0.5000
0.3333 0.6667 0.2370
0.6667 0.3333 0.7630
0.1684 0.3368 0.3266
0.1684 0.8316 0.3266
0.3333 0.6667 0.0014
0.3368 0.1684 0.6734
0.6632 0.8316 0.3266
0.6667 0.3333 0.9986
0.8316 0.1684 0.6734
0.8316 0.6632 0.6734
```